# 1
Calculated powder diffraction line list of SmMg2W3S8 for CuKα, from a crystal structure in the Materials Project, relaxed with GGA-PBE.
No peak broadening, texture or thermal motion is included.

Peak list (8 most intense, 10 to 80 degrees two-theta, in order of falling intensity)
- (2 2 -2), 33.78°, intensity 100
- (0 0 1), 14.10°, intensity 89
- (1 1 0), 14.47°, intensity 85
- (0 2 1), 27.52°, intensity 69
- (2 2 0), 29.17°, intensity 49
- (4 0 0), 34.44°, intensity 48
- (6 2 -2), 50.36°, intensity 47
- (2 2 2), 47.63°, intensity 44

Atomic structure:
Lattice parameters (Å, degrees): 12.3868 7.5645 7.4665 90.00 122.75 90.00
Space group C2/m (No. 12)
Symmetry-distinct sites (fractional):
Sm: 0.0000 0.0000 0.0000 (multiplicity 2)
Mg: 0.1238 0.5000 0.8797 (multiplicity 4)
W: 0.0000 0.0000 0.5000 (multiplicity 2)
W: 0.2500 0.2500 0.5000 (multiplicity 4)
S: 0.0125 0.2426 0.2853 (multiplicity 8)
S: 0.2400 0.5000 0.7051 (multiplicity 4)
S: 0.2428 0.0000 0.7206 (multiplicity 4)

# 2
Calculated powder diffraction line list of TbMgS3 for CuKα, from a crystal structure in the Materials Project, relaxed with GGA-PBE.
No peak broadening, texture or thermal motion is included.

Peak list (8 most intense, 10 to 80 degrees two-theta, in order of falling intensity)
- (1 1 3), 30.49°, intensity 100
- (2 -1 6), 40.25°, intensity 83
- (1 0 4), 24.97°, intensity 58
- (0 0 3), 14.72°, intensity 54
- (1 1 0), 26.55°, intensity 52
- (1 0 1), 16.01°, intensity 48
- (3 0 0), 46.88°, intensity 46
- (0 1 2), 18.15°, intensity 40

Atomic structure:
Lattice parameters (Å, degrees): 6.7140 6.7140 18.0555 90.00 90.00 120.00
Space group R-3 (No. 148, hexagonal axes)
Symmetry-distinct sites (fractional):
Tb: 0.0000 0.0000 0.1533 (multiplicity 6)
Mg: 0.0000 0.0000 0.3464 (multiplicity 6)
S: 0.0110 0.6949 0.2535 (multiplicity 18)

# 3
Calculated powder diffraction line list of TbMgS3 for CuKα, from a crystal structure in the Materials Project, relaxed with GGA-PBE.
No peak broadening, texture or thermal motion is included.

Peak list (8 most intense, 10 to 80 degrees two-theta, in order of falling intensity)
- (1 1 -1), 16.15°, intensity 100
- (0 2 0), 15.53°, intensity 71
- (0 0 2), 30.60°, intensity 46
- (1 3 -1), 27.43°, intensity 39
- (3 1 -1), 35.41°, intensity 31
- (0 2 2), 34.46°, intensity 30
- (1 1 -3), 42.03°, intensity 26
- (1 3 1), 34.18°, intensity 22

Atomic structure:
Lattice parameters (Å, degrees): 7.8700 11.4119 6.7737 90.00 120.28 90.00
Space group C2/m (No. 12)
Symmetry-distinct sites (fractional):
Tb: 0.2187 0.0000 0.2494 (multiplicity 4)
Mg: 0.0000 0.3387 0.0000 (multiplicity 4)
S: 0.0720 0.1524 0.8472 (multiplicity 8)
S: 0.0787 0.5000 0.2887 (multiplicity 4)

# 4
Calculated powder diffraction line list of Mg2TeS for CuKα, from a crystal structure in the Materials Project, relaxed with GGA-PBE.
No peak broadening, texture or thermal motion is included.

Peak list (8 most intense, 10 to 80 degrees two-theta, in order of falling intensity)
- (0 1 2), 25.29°, intensity 100
- (2 0 2), 49.55°, intensity 43
- (1 1 0), 41.93°, intensity 39
- (0 0 3), 12.50°, intensity 38
- (0 1 8), 41.75°, intensity 37
- (0 0 6), 25.15°, intensity 32
- (1 0 1), 24.21°, intensity 30
- (1 0 4), 29.25°, intensity 28

Atomic structure:
Lattice parameters (Å, degrees): 4.3095 4.3095 21.2445 90.00 90.00 120.00
Space group R3m (No. 160, hexagonal axes)
Symmetry-distinct sites (fractional):
Mg: 0.0000 0.0000 0.0000 (multiplicity 3)
Mg: 0.0000 0.0000 0.4807 (multiplicity 3)
Te: 0.0000 0.0000 0.6130 (multiplicity 3)
S: 0.0000 0.0000 0.1161 (multiplicity 3)